Calculated powder diffraction line list of LiMnBiF2 for CuKα, from a PBE+U-relaxed structure.

Principal peaks in the range 10 to 80 degrees two-theta, in order of rising 2θ:
| 2θ (°) | I/Imax | hkl |
| --- | --- | --- |
| 12.03 | 23 | 0 0 1 |
| 22.28 | 21 | 1 0 0 |
| 24.20 | 41 | 0 0 2 |
| 25.40 | 100 | 1 0 1 |
| 31.72 | 22 | 1 1 0 |
| 34.03 | 27 | 1 1 1 |
| 40.29 | 24 | 1 1 2 |
| 43.31 | 24 | 1 0 3 |
| 52.16 | 20 | 2 0 2 |
| 52.79 | 27 | 2 1 1 |

Atomic structure:
```
5
Lattice="3.990 0.000 0.000 0.000 3.990 0.000 0.000 0.000 7.357" Properties=species:S:1:pos:R:3 pbc="T T T"
Li 0.000 0.000 0.000
Mn 0.000 0.000 3.678
Bi 1.995 1.995 0.000
F 0.000 1.995 3.678
F 1.995 0.000 3.678
```